1.
Theoretical X-ray diffraction stick pattern
Compound: Ga2CuHgTe4
Radiation: Cu Kα (λ = 1.5418 Å)
Structure: the PBE geometry in Alexandria

Structural model:
```
data_Ga2CuHgTe4
_symmetry_space_group_name_H-M 'F m m 2'
_symmetry_Int_Tables_number 42
_symmetry_space_group_name_Hall 'F 2 -2'
_cell_length_a 8.9451
_cell_length_b 9.2793
_cell_length_c 12.3053
_cell_angle_alpha 90.00
_cell_angle_beta 90.00
_cell_angle_gamma 90.00
loop_
_atom_site_label
_atom_site_fract_x
_atom_site_fract_y
_atom_site_fract_z
Ga1 0.2500 0.2500 0.0000
Cu1 0.0000 0.0000 0.2469
Hg1 0.0000 0.0000 0.7489
Te1 0.0000 0.2313 0.3686
Te2 0.2319 0.0000 0.1189
```

Most intense lines, 2θ = 10–80°, in order of rising 2θ:
h k l	2theta	I (rel.)
0 2 2	24.0	93
2 0 2	24.6	100
0 4 0	38.8	27
4 0 0	40.3	24
2 2 4	40.6	98
2 4 2	46.5	34
4 2 2	47.5	28
0 2 6	48.5	18
4 4 0	57.2	16
4 2 6	64.9	14
2 6 4	71.5	16
6 2 4	73.5	15


2.
Theoretical X-ray diffraction stick pattern
Compound: HoGa4Cu6
Radiation: Cu Kα (λ = 1.5418 Å)
Structure: the PBE geometry in Alexandria

Structural model:
```
data_HoGa4Cu6
_symmetry_space_group_name_H-M 'P -6 m 2'
_symmetry_Int_Tables_number 187
_symmetry_space_group_name_Hall 'P -6 2'
_cell_length_a 6.8985
_cell_length_b 6.8985
_cell_length_c 4.0253
_cell_angle_alpha 90.00
_cell_angle_beta 90.00
_cell_angle_gamma 120.00
loop_
_atom_site_label
_atom_site_fract_x
_atom_site_fract_y
_atom_site_fract_z
Ho1 0.0000 0.0000 0.0000
Ga1 0.3333 0.6667 0.0000
Ga2 0.3893 0.1946 0.5000
Cu1 0.2089 0.4179 0.5000
Cu2 0.5400 0.0800 0.0000
```

Most intense lines, 2θ = 10–80°, in order of rising 2θ:
h k l	2theta	I (rel.)
1 1 0	25.8	9
1 1 1	34.2	47
2 0 1	37.5	100
2 1 0	39.9	44
0 0 2	45.0	34
2 1 1	46.1	30
3 0 1	51.2	23
2 2 0	53.1	22
3 1 1	60.4	18
2 1 2	61.7	23
2 2 2	72.1	18
2 0 3	78.1	11


3.
Theoretical X-ray diffraction stick pattern
Compound: HoGa3Cu3
Radiation: Cu Kα (λ = 1.5418 Å)
Structure: the PBE geometry in Alexandria

Structural model:
```
data_HoGa3Cu3
_symmetry_space_group_name_H-M 'P 1 21/m 1'
_symmetry_Int_Tables_number 11
_cell_length_a 6.8110
_cell_length_b 4.2089
_cell_length_c 8.3956
_cell_angle_alpha 90.00
_cell_angle_beta 109.73
_cell_angle_gamma 90.00
loop_
_symmetry_equiv_pos_as_xyz
'x,y,z'
'-x,-y,-z'
'-x,y+1/2,-z'
'x,-y+1/2,z'
loop_
_atom_site_label
_atom_site_fract_x
_atom_site_fract_y
_atom_site_fract_z
Ho1 0.1072 0.2500 0.3571
Ga1 0.0275 0.2500 0.9174
Ga2 0.3194 0.7500 0.6058
Ga3 0.3898 0.7500 0.3010
Cu1 0.2677 0.7500 0.9577
Cu2 0.2874 0.2500 0.7719
Cu3 0.4114 0.2500 0.1163
```

Most intense lines, 2θ = 10–80°, in order of rising 2θ:
h k l	2theta	I (rel.)
2 0 -2	29.4	33
0 1 2	31.0	30
2 1 -1	33.9	34
0 0 3	34.0	21
2 1 0	35.2	44
1 1 2	37.2	91
3 0 -1	39.8	35
0 1 3	40.4	42
2 1 -3	42.2	100
0 2 0	43.0	80
3 1 0	47.7	24
3 2 -1	60.0	23


4.
Theoretical X-ray diffraction stick pattern
Compound: Ho4Ga3Cu
Radiation: Cu Kα (λ = 1.5418 Å)
Structure: the PBE geometry in Alexandria

Structural model:
```
data_Ho4Ga3Cu
_symmetry_space_group_name_H-M 'P 4/m m m'
_symmetry_Int_Tables_number 123
_symmetry_space_group_name_Hall '-P 4 2'
_cell_length_a 4.9897
_cell_length_b 4.9897
_cell_length_c 7.1135
_cell_angle_alpha 90.00
_cell_angle_beta 90.00
_cell_angle_gamma 90.00
loop_
_atom_site_label
_atom_site_fract_x
_atom_site_fract_y
_atom_site_fract_z
Ho1 0.0000 0.5000 0.2471
Ga1 0.0000 0.0000 0.0000
Ga2 0.0000 0.0000 0.5000
Ga3 0.5000 0.5000 0.5000
Cu1 0.5000 0.5000 0.0000
```

Most intense lines, 2θ = 10–80°, in order of rising 2θ:
h k l	2theta	I (rel.)
0 0 2	25.0	9
1 1 0	25.2	18
1 1 2	35.8	100
2 0 0	36.0	49
2 0 2	44.4	8
0 0 4	51.4	9
2 2 0	51.8	17
1 1 4	58.1	4
2 0 4	64.3	18
3 1 2	64.6	35
2 2 4	76.0	11
4 0 0	76.3	5


5.
Theoretical X-ray diffraction stick pattern
Compound: Ho2Ga2Cu3
Radiation: Cu Kα (λ = 1.5418 Å)
Structure: the PBE geometry in Alexandria

Structural model:
```
data_Ho2Ga2Cu3
_symmetry_space_group_name_H-M 'C 1 2/m 1'
_symmetry_Int_Tables_number 12
_cell_length_a 10.2343
_cell_length_b 4.1338
_cell_length_c 6.4478
_cell_angle_alpha 90.00
_cell_angle_beta 113.18
_cell_angle_gamma 90.00
loop_
_symmetry_equiv_pos_as_xyz
'x,y,z'
'-x,-y,-z'
'-x,y,-z'
'x,-y,z'
'x+1/2,y+1/2,z'
'-x+1/2,-y+1/2,-z'
'-x+1/2,y+1/2,-z'
'x+1/2,-y+1/2,z'
loop_
_atom_site_label
_atom_site_fract_x
_atom_site_fract_y
_atom_site_fract_z
Ho1 0.1432 0.0000 0.2608
Ga1 0.1473 0.0000 0.7367
Cu1 0.0000 0.5000 0.5000
Cu2 0.0987 0.5000 0.9229
```

Most intense lines, 2θ = 10–80°, in order of rising 2θ:
h k l	2theta	I (rel.)
1 1 1	30.0	39
0 0 2	30.2	38
3 1 -1	34.3	43
1 1 -2	35.4	67
3 1 0	35.9	100
4 0 0	38.3	41
4 0 -2	38.4	25
3 1 -2	39.2	85
1 1 2	41.6	70
0 2 0	43.8	62
4 2 0	59.6	36
7 1 -2	68.2	26


6.
Theoretical X-ray diffraction stick pattern
Compound: Ho3Ga4Cu2
Radiation: Cu Kα (λ = 1.5418 Å)
Structure: the PBE geometry in Alexandria

Structural model:
```
data_Ho3Ga4Cu2
_symmetry_space_group_name_H-M 'P 3 m 1'
_symmetry_Int_Tables_number 156
_cell_length_a 4.3076
_cell_length_b 4.3076
_cell_length_c 22.1808
_cell_angle_alpha 90.00
_cell_angle_beta 90.00
_cell_angle_gamma 120.00
loop_
_symmetry_equiv_pos_as_xyz
'x,y,z'
'-y,x-y,z'
'-x+y,-x,z'
'-y,-x,z'
'-x+y,y,z'
'x,x-y,z'
loop_
_atom_site_label
_atom_site_fract_x
_atom_site_fract_y
_atom_site_fract_z
Ho1 0.0000 0.0000 0.0000
Ho2 0.0000 0.0000 0.1559
Ho3 0.0000 0.0000 0.3307
Ho4 0.0000 0.0000 0.4865
Ho5 0.0000 0.0000 0.6654
Ho6 0.0000 0.0000 0.8216
Ga1 0.3333 0.6667 0.0831
Ga2 0.3333 0.6667 0.2291
Ga3 0.3333 0.6667 0.4130
Ga4 0.3333 0.6667 0.5597
Ga5 0.3333 0.6667 0.8976
Ga6 0.6667 0.3333 0.2573
Ga7 0.6667 0.3333 0.5878
Ga8 0.6667 0.3333 0.9271
Cu1 0.3333 0.6667 0.7484
Cu2 0.6667 0.3333 0.0689
Cu3 0.6667 0.3333 0.3981
Cu4 0.6667 0.3333 0.7378
```

Most intense lines, 2θ = 10–80°, in order of rising 2θ:
h k l	2theta	I (rel.)
1 0 0	23.9	20
0 1 3	26.8	3
0 1 6	34.1	100
1 1 0	41.9	52
1 0 9	44.0	7
0 0 12	49.3	7
2 0 6	55.2	25
1 0 12	55.5	6
1 1 12	66.7	16
0 1 15	68.2	3
1 2 6	71.6	23
3 0 0	76.6	9


7.
Theoretical X-ray diffraction stick pattern
Compound: Ho4GaCu
Radiation: Cu Kα (λ = 1.5418 Å)
Structure: the PBE geometry in Alexandria

Structural model:
```
data_Ho4GaCu
_symmetry_space_group_name_H-M 'P 1 21/c 1'
_symmetry_Int_Tables_number 14
_cell_length_a 7.0403
_cell_length_b 7.0687
_cell_length_c 6.7336
_cell_angle_alpha 90.00
_cell_angle_beta 93.42
_cell_angle_gamma 90.00
loop_
_symmetry_equiv_pos_as_xyz
'x,y,z'
'-x,-y,-z'
'-x,y+1/2,-z+1/2'
'x,-y+1/2,z+1/2'
loop_
_atom_site_label
_atom_site_fract_x
_atom_site_fract_y
_atom_site_fract_z
Ho1 0.1567 0.1614 0.1711
Ho2 0.3333 0.6538 0.1263
Ga1 0.5000 0.0000 0.0000
Cu1 0.0000 0.0000 0.5000
```

Most intense lines, 2θ = 10–80°, in order of rising 2θ:
h k l	2theta	I (rel.)
2 1 0	28.4	100
0 2 1	28.5	93
1 0 -2	28.8	34
1 0 2	30.2	67
2 1 -1	30.7	29
1 2 -1	31.0	24
1 1 -2	31.5	48
1 2 1	31.6	36
1 1 -3	43.6	43
2 3 -1	48.0	29
3 1 2	50.5	24
1 2 3	50.6	26


8.
Theoretical X-ray diffraction stick pattern
Compound: Ho3Ga4Cu4
Radiation: Cu Kα (λ = 1.5418 Å)
Structure: the PBE geometry in Alexandria

Structural model:
```
data_Ho3Ga4Cu4
_symmetry_space_group_name_H-M 'P -1'
_symmetry_Int_Tables_number 2
_cell_length_a 3.6912
_cell_length_b 4.1613
_cell_length_c 13.4489
_cell_angle_alpha 81.23
_cell_angle_beta 82.13
_cell_angle_gamma 90.00
loop_
_symmetry_equiv_pos_as_xyz
'x,y,z'
'-x,-y,-z'
loop_
_atom_site_label
_atom_site_fract_x
_atom_site_fract_y
_atom_site_fract_z
Ho1 0.0000 0.0000 0.0000
Ho2 0.1464 0.6464 0.7064
Ga1 0.2537 0.2546 0.4915
Ga2 0.4053 0.9050 0.1917
Cu1 0.3113 0.8117 0.3779
Cu2 0.4551 0.4531 0.0934
```

Most intense lines, 2θ = 10–80°, in order of rising 2θ:
h k l	2theta	I (rel.)
0 1 -1	23.7	13
1 1 2	33.1	15
1 0 4	34.0	51
1 1 -1	35.2	100
0 1 5	37.6	15
0 2 1	43.5	46
0 1 6	43.7	18
2 0 1	49.4	19
1 0 7	51.5	12
1 -2 3	56.3	18
2 2 2	67.9	23
1 3 0	74.5	12


9.
Theoretical X-ray diffraction stick pattern
Compound: Ho2Ga4Cu5
Radiation: Cu Kα (λ = 1.5418 Å)
Structure: the PBE geometry in Alexandria

Structural model:
```
data_Ho2Ga4Cu5
_symmetry_space_group_name_H-M 'F m m m'
_symmetry_Int_Tables_number 69
_symmetry_space_group_name_Hall '-F 2 2'
_cell_length_a 5.4993
_cell_length_b 9.2248
_cell_length_c 14.7623
_cell_angle_alpha 90.00
_cell_angle_beta 90.00
_cell_angle_gamma 90.00
loop_
_atom_site_label
_atom_site_fract_x
_atom_site_fract_y
_atom_site_fract_z
Ho1 0.0000 0.0000 0.1382
Ga1 0.0000 0.1505 0.3682
Cu1 0.0000 0.0000 0.5000
Cu2 0.2500 0.2500 0.0000
Cu3 0.2500 0.2500 0.2500
```

Most intense lines, 2θ = 10–80°, in order of rising 2θ:
h k l	2theta	I (rel.)
1 1 3	26.2	25
0 2 4	31.0	32
2 0 0	32.6	13
1 3 1	33.9	30
2 2 0	38.2	100
2 0 4	40.9	54
1 3 5	45.7	16
0 0 8	49.4	18
1 3 7	55.4	17
3 3 3	61.9	16
0 6 4	65.8	11
2 6 0	70.1	13


10.
Theoretical X-ray diffraction stick pattern
Compound: Ho3Ga4Cu4
Radiation: Cu Kα (λ = 1.5418 Å)
Structure: the PBE geometry in Alexandria

Structural model:
```
data_Ho3Ga4Cu4
_symmetry_space_group_name_H-M 'I m m m'
_symmetry_Int_Tables_number 71
_symmetry_space_group_name_Hall '-I 2 2'
_cell_length_a 4.2287
_cell_length_b 6.7799
_cell_length_c 13.8620
_cell_angle_alpha 90.00
_cell_angle_beta 90.00
_cell_angle_gamma 90.00
loop_
_atom_site_label
_atom_site_fract_x
_atom_site_fract_y
_atom_site_fract_z
Ho1 0.0000 0.0000 0.0000
Ho2 0.0000 0.5000 0.1296
Ga1 0.0000 0.0000 0.2185
Ga2 0.0000 0.1877 0.5000
Cu1 0.0000 0.3128 0.3290
```

Most intense lines, 2θ = 10–80°, in order of rising 2θ:
h k l	2theta	I (rel.)
0 2 0	26.3	13
1 2 1	34.5	89
0 1 5	35.0	27
1 1 4	36.0	100
0 0 6	39.0	15
2 0 0	42.8	37
0 3 3	44.6	30
1 2 5	47.5	14
2 1 5	56.4	14
2 3 3	63.5	20
3 1 4	73.9	12
1 5 4	79.2	14


11.
Theoretical X-ray diffraction stick pattern
Compound: HoMg2Ga2Cu
Radiation: Cu Kα (λ = 1.5418 Å)
Structure: the PBE geometry in Alexandria

Structural model:
```
data_HoMg2Ga2Cu
_symmetry_space_group_name_H-M 'I 4/m m m'
_symmetry_Int_Tables_number 139
_symmetry_space_group_name_Hall '-I 4 2'
_cell_length_a 5.2025
_cell_length_b 5.2025
_cell_length_c 10.5137
_cell_angle_alpha 90.00
_cell_angle_beta 90.00
_cell_angle_gamma 90.00
loop_
_atom_site_label
_atom_site_fract_x
_atom_site_fract_y
_atom_site_fract_z
Ho1 0.0000 0.0000 0.0000
Mg1 0.0000 0.5000 0.2500
Ga1 0.0000 0.0000 0.2814
Cu1 0.0000 0.0000 0.5000
```

Most intense lines, 2θ = 10–80°, in order of rising 2θ:
h k l	2theta	I (rel.)
1 1 0	24.2	100
1 1 2	29.6	25
1 0 3	30.8	31
0 0 4	34.1	29
2 0 0	34.5	70
1 1 4	42.3	34
2 1 3	46.9	20
2 0 4	49.3	40
2 2 0	49.6	25
3 1 0	55.9	20
2 2 4	61.5	20
3 1 4	67.1	17


12.
Theoretical X-ray diffraction stick pattern
Compound: PmHoGa2Cu2
Radiation: Cu Kα (λ = 1.5418 Å)
Structure: the PBE geometry in Alexandria

Structural model:
```
data_PmHoGa2Cu2
_symmetry_space_group_name_H-M 'P -3 m 1'
_symmetry_Int_Tables_number 164
_symmetry_space_group_name_Hall '-P 3 2"'
_cell_length_a 4.3703
_cell_length_b 4.3703
_cell_length_c 7.2655
_cell_angle_alpha 90.00
_cell_angle_beta 90.00
_cell_angle_gamma 120.00
loop_
_atom_site_label
_atom_site_fract_x
_atom_site_fract_y
_atom_site_fract_z
Pm1 0.0000 0.0000 0.0000
Ho1 0.0000 0.0000 0.5000
Ga1 0.3333 0.6667 0.2662
Cu1 0.3333 0.6667 0.7253
```

Most intense lines, 2θ = 10–80°, in order of rising 2θ:
h k l	2theta	I (rel.)
0 0 1	12.2	3
1 0 0	23.5	18
0 1 2	34.2	100
1 1 0	41.3	52
2 0 0	48.1	3
0 0 4	50.2	9
2 0 2	54.7	26
1 0 4	56.2	4
2 1 0	65.2	2
1 1 4	67.0	21
1 2 2	70.8	24
3 0 0	75.3	9